The following is a simulated powder diffraction line list of Ac2Sn5Ir3. It was derived from a structure optimized by DFT (PBE), using Cu Ka.
Peak positions follow from Bragg's law for the DFT cell and can differ from measured ones.

Crystal structure
Cell lengths 13.8125, 13.8125, 7.5057 Å; angles 90.00, 90.00, 160.74 degrees
Element x y z (fractional)
Ac 0.0244 0.9756 0.5000
Ac 0.3266 0.6734 0.4628
Ac 0.6734 0.3266 0.9628
Ac 0.9756 0.0244 0.0000
Sn 0.0970 0.9030 0.1253
Sn 0.2061 0.7939 0.6606
Sn 0.2105 0.7895 0.2512
Sn 0.3763 0.6237 0.9958
Sn 0.4492 0.5508 0.3355
Sn 0.5508 0.4492 0.8355
Sn 0.6237 0.3763 0.4958
Sn 0.7895 0.2105 0.7512
Sn 0.7939 0.2061 0.1606
Sn 0.9030 0.0970 0.6253
Ir 0.1076 0.8924 0.7530
Ir 0.2759 0.7241 0.9550
Ir 0.4485 0.5515 0.7126
Ir 0.5515 0.4485 0.2126
Ir 0.7241 0.2759 0.4550
Ir 0.8924 0.1076 0.2530

Top 10 peaks for 5° ≤ 2θ ≤ 70°, most intense first:
two_theta  I (rel.)
32.31  100
38.98  28
35.05  17
61.06  14
35.46  14
66.42  13
30.90  11
42.27  11
43.10  11
53.41  11

---

The following is a simulated powder diffraction line list of Ce5Tl5Rh. It was derived from a structure optimized by DFT (PBE), using Cu Ka.
Peak positions follow from Bragg's law for the DFT cell and can differ from measured ones.

Crystal structure
Cell lengths 9.5591, 9.5591, 6.7770 Å; angles 110.72, 110.72, 33.75 degrees
Element x y z (fractional)
Ce 0.0000 0.0000 0.0000
Ce 0.3493 0.3493 0.0578
Ce 0.3491 0.3491 0.6406
Ce 0.6509 0.6509 0.3594
Ce 0.6507 0.6507 0.9422
Tl 0.1391 0.1391 0.6392
Tl 0.1971 0.1971 0.1969
Tl 0.5000 0.5000 0.5000
Tl 0.8029 0.8029 0.8031
Tl 0.8609 0.8609 0.3608
Rh 0.5000 0.5000 0.0000

Top 10 peaks for 5° ≤ 2θ ≤ 70°, most intense first:
two_theta  I (rel.)
34.83  100
29.58  59
32.26  58
31.58  31
45.77  22
59.20  22
31.38  19
58.38  18
26.30  17
29.39  15